Structure and computed powder diffractogram of CaY2Fe4O8 (a structure optimized by DFT (PBE+U); Cu Kα X-rays).
Intensities are scaled so that the largest is 100.

Crystal structure
Cell lengths 6.3074, 6.3074, 7.4905 Å; angles 123.85, 123.85, 60.37 degrees
Atoms (fractional coordinates):
Ca 0.0000 0.0000 0.0000
Y 0.2211 0.2211 0.5210
Y 0.7789 0.7789 0.4790
Fe 0.0000 0.5000 0.0000
Fe 0.5000 0.0000 0.0000
Fe 0.5000 0.5000 0.0000
Fe 0.5000 0.5000 0.5000
O 0.2071 0.6756 0.7215
O 0.2593 0.2593 0.8459
O 0.2712 0.2712 0.2378
O 0.3244 0.7929 0.2785
O 0.6756 0.2071 0.7215
O 0.7288 0.7288 0.7622
O 0.7407 0.7407 0.1541
O 0.7929 0.3244 0.2785

Most intense lines, 10 to 90 degrees two-theta, by intensity:
- 2.864 Å, 31.2 deg, intensity 100
- 2.737 Å, 32.7 deg, intensity 99
- 2.035 Å, 44.5 deg, intensity 84
- 2.774 Å, 32.3 deg, intensity 76
- 2.085 Å, 43.4 deg, intensity 75
- 2.958 Å, 30.2 deg, intensity 67
- 2.710 Å, 33.1 deg, intensity 67
- 1.927 Å, 47.2 deg, intensity 62
- 2.419 Å, 37.2 deg, intensity 58
- 3.171 Å, 28.1 deg, intensity 56